Starting from DFT lattice parameters and positions (GGA-PBE), the X-ray diffraction stick pattern of Pm8Y5Sc was simulated for Cu Kα X-rays.

```
14
Lattice="6.1124 -4.8000 0.0000 6.1124 4.8000 0.0000 -6.1109 0.0000 8.0026" Properties=species:S:1:pos:R:3 pbc="T T T"
Pm -0.6571 0.0000 1.6465
Pm 2.6059 2.9451 2.3290
Pm -2.5572 1.3219 7.4658
Pm 3.5079 2.9451 5.6736
Pm 0.5095 -1.6162 4.5300
Pm 8.6710 1.3219 0.5368
Pm 5.6043 -1.6162 3.4727
Pm 6.7710 0.0000 6.3561
Y 0.3615 1.3277 5.9026
Y 2.7059 -0.5858 2.1429
Y 5.7523 1.3277 2.1000
Y 6.1124 -1.5464 0.0000
Y 3.4080 -0.5858 5.8597
Sc 3.0569 -3.7251 4.0013
```

Peak list (10 most intense, 10 to 90 degrees two-theta, sorted by position)
2θ = 21.6°, I = 32
2θ = 29.1°, I = 47
2θ = 29.2°, I = 34
2θ = 29.4°, I = 69
2θ = 30.3°, I = 77
2θ = 31.3°, I = 56
2θ = 32.6°, I = 100
2θ = 36.1°, I = 49
2θ = 41.7°, I = 30
2θ = 47.1°, I = 24